Simulated powder X-ray diffraction pattern of TbPrPtRh for Cu Kα (weighted mean of Kα1 and Kα2), from DFT lattice parameters and positions (PBE).
Neutral-atom scattering factors, no anomalous dispersion.

Crystal structure
Cell lengths 4.439, 5.714, 5.714 Å; angles 39.63, 90.00, 90.00 degrees
Fractional coordinates of all 4 atoms:
Tb: 0.000 0.000 0.000
Pr: 0.500 0.281 0.281
Pt: 0.000 0.719 0.719
Rh: 0.500 0.546 0.546

Largest 10 diffraction maxima, in order of falling intensity, 2θ = 15–90°:
d_spacing	2theta	Rel. int.
2.817	31.77	100
2.263	39.83	70
2.220	40.65	30
2.688	33.33	29
2.299	39.18	25
2.631	34.08	21
1.937	46.90	20
1.459	63.77	16
1.712	53.54	15
1.201	79.88	14



Simulated powder X-ray diffraction pattern of NiN for Cu Kα (weighted mean of Kα1 and Kα2), from DFT lattice parameters and positions (PBE).
Neutral-atom scattering factors, no anomalous dispersion.

Crystal structure
Cell lengths 2.653, 2.653, 5.679 Å; angles 90.00, 90.00, 90.00 degrees
Fractional coordinates of all 4 atoms:
Ni: 0.000 0.500 0.157
Ni: 0.500 0.000 0.843
N: 0.000 0.000 0.396
N: 0.000 0.000 0.604

Largest 10 diffraction maxima, in order of falling intensity, 2θ = 15–90°:
d_spacing	2theta	Rel. int.
2.404	37.41	100
1.939	46.86	60
5.679	15.60	41
1.782	51.28	26
1.876	48.52	21
1.333	70.69	20
1.095	89.52	17
1.162	83.17	17
1.893	48.06	14
1.327	71.05	12



Simulated powder X-ray diffraction pattern of Li4CuP6O18 for Cu Kα (weighted mean of Kα1 and Kα2), from DFT lattice parameters and positions (PBE).
Neutral-atom scattering factors, no anomalous dispersion.

Crystal structure
Cell lengths 7.295, 7.615, 8.213 Å; angles 100.78, 111.12, 101.95 degrees
Fractional coordinates of all 29 atoms:
Li: 0.000 0.000 0.000
Li: 0.039 0.740 0.287
Li: 0.513 0.147 0.340
Li: 0.719 0.035 0.659
Cu: 0.222 0.605 0.602
P: 0.174 0.645 0.976
P: 0.180 0.002 0.707
P: 0.254 0.426 0.228
P: 0.479 0.325 0.711
P: 0.582 0.748 0.268
P: 0.610 0.150 0.995
O: 0.082 0.771 0.064
O: 0.099 0.597 0.772
O: 0.140 0.447 0.026
O: 0.161 0.527 0.343
O: 0.177 0.843 0.562
O: 0.238 0.224 0.212
O: 0.247 0.191 0.653
O: 0.366 0.026 0.896
O: 0.420 0.724 0.061
O: 0.455 0.514 0.697
O: 0.490 0.543 0.293
O: 0.554 0.898 0.396
O: 0.583 0.237 0.606
O: 0.591 0.336 0.923
O: 0.668 0.200 0.194
O: 0.729 0.053 0.912
O: 0.784 0.758 0.264
O: 0.993 0.995 0.743

Largest 10 diffraction maxima, in order of falling intensity, 2θ = 15–90°:
d_spacing	2theta	Rel. int.
4.215	21.08	100
4.850	18.29	78
3.246	27.48	53
2.482	36.19	51
3.676	24.21	48
3.980	22.34	42
3.302	27.00	40
2.916	30.66	33
2.973	30.06	32
3.618	24.60	30



Repeat the second record exactly.
Simulated powder X-ray diffraction pattern of NiN for Cu Kα (weighted mean of Kα1 and Kα2), from DFT lattice parameters and positions (PBE).
Neutral-atom scattering factors, no anomalous dispersion.

Crystal structure
Cell lengths 2.653, 2.653, 5.679 Å; angles 90.00, 90.00, 90.00 degrees
Fractional coordinates of all 4 atoms:
Ni: 0.000 0.500 0.157
Ni: 0.500 0.000 0.843
N: 0.000 0.000 0.396
N: 0.000 0.000 0.604

Largest 10 diffraction maxima, in order of falling intensity, 2θ = 15–90°:
d_spacing	2theta	Rel. int.
2.404	37.41	100
1.939	46.86	60
5.679	15.60	41
1.782	51.28	26
1.876	48.52	21
1.333	70.69	20
1.095	89.52	17
1.162	83.17	17
1.893	48.06	14
1.327	71.05	12